(1)
Diffraction record for Ti2PtBr. The powder diffraction line list is simulated, not measured: it uses a DFT-relaxed cell (PBE, Alexandria) and CuKα.
Intensities are scaled so that the largest is 100.

Structural model:
```
data_Ti2PtBr
_chemical_formula_sum 'Ti8 Pt4 Br4'
_cell_length_a 6.856
_cell_length_b 6.856
_cell_length_c 6.440
_cell_angle_alpha 90.00
_cell_angle_beta 90.00
_cell_angle_gamma 90.00
_symmetry_space_group_name_H-M 'I -4 2 d'
_symmetry_Int_Tables_number 122
_symmetry_space_group_name_Hall 'I -4 2bw'
loop_
_atom_site_label
_atom_site_type_symbol
_atom_site_fract_x
_atom_site_fract_y
_atom_site_fract_z
Ti1 Ti 0.249 0.250 0.125
Pt1 Pt 0.000 0.000 0.000
Br1 Br 0.000 0.000 0.500
```

Largest 8 diffraction maxima, most intense first, 10° ≤ 2θ ≤ 90°:
2θ 33.41, 2.682 Å, I = 100, (1 1 2)
2θ 50.77, 1.798 Å, I = 61, (3 1 2)
2θ 37.09, 2.424 Å, I = 61, (2 2 0)
2θ 25.99, 3.428 Å, I = 35, (2 0 0)
2θ 18.91, 4.694 Å, I = 28, (1 0 1)
2θ 63.88, 1.457 Å, I = 24, (2 0 4)
2θ 87.95, 1.110 Å, I = 21, (4 2 4)
2θ 53.46, 1.714 Å, I = 21, (4 0 0)

***

(2)
Diffraction record for SiSnSeO. The powder diffraction line list is simulated, not measured: it uses a DFT-relaxed cell (PBE, Alexandria) and CuKα.
Intensities are scaled so that the largest is 100.

Structural model:
```
data_SiSnSeO
_chemical_formula_sum 'Si2 Sn2 Se2 O2'
_cell_length_a 11.377
_cell_length_b 2.913
_cell_length_c 5.726
_cell_angle_alpha 90.00
_cell_angle_beta 93.61
_cell_angle_gamma 90.00
_symmetry_space_group_name_H-M 'C 1 m 1'
_symmetry_Int_Tables_number 8
loop_
_symmetry_equiv_pos_as_xyz
'x,y,z'
'x,-y,z'
'x+1/2,y+1/2,z'
'x+1/2,-y+1/2,z'
loop_
_atom_site_label
_atom_site_type_symbol
_atom_site_fract_x
_atom_site_fract_y
_atom_site_fract_z
Si1 Si 0.000 0.000 0.000
Sn1 Sn 0.308 0.500 0.683
Se1 Se 0.007 0.000 0.420
O1 O 0.078 0.500 0.969
```

Largest 8 diffraction maxima, most intense first, 10° ≤ 2θ ≤ 90°:
2θ 22.77, 3.906 Å, I = 100, (2 0 1)
2θ 31.71, 2.821 Å, I = 93, (1 1 0)
2θ 15.51, 5.714 Å, I = 83, (0 0 1)
2θ 35.71, 2.514 Å, I = 70, (1 1 1)
2θ 34.23, 2.619 Å, I = 56, (2 0 -2)
2θ 31.52, 2.838 Å, I = 52, (4 0 0)
2θ 36.07, 2.490 Å, I = 50, (2 0 2)
2θ 41.63, 2.169 Å, I = 49, (3 1 -1)

***

(3)
Diffraction record for Sm8IrSe4S3. The powder diffraction line list is simulated, not measured: it uses a DFT-relaxed cell (PBE, Alexandria) and CuKα.
Intensities are scaled so that the largest is 100.

Structural model:
```
data_Sm8IrSe4S3
_chemical_formula_sum 'Sm24 Ir3 Se12 S9'
_cell_length_a 8.2298
_cell_length_b 8.2298
_cell_length_c 20.3527
_cell_angle_alpha 90.00
_cell_angle_beta 90.00
_cell_angle_gamma 120.00
_symmetry_space_group_name_H-M 'R -3 m'
_symmetry_Int_Tables_number 166
_symmetry_space_group_name_Hall '-R 3 2"'
loop_
_atom_site_label
_atom_site_type_symbol
_atom_site_fract_x
_atom_site_fract_y
_atom_site_fract_z
Sm1 Sm 0.0000 0.0000 0.2441
Sm2 Sm 0.0064 0.5032 0.2437
Ir1 Ir 0.0000 0.0000 0.5000
Se1 Se 0.0000 0.0000 0.0000
Se2 Se 0.0000 0.5000 0.0000
S1 S 0.0000 0.5000 0.5000
```

Largest 8 diffraction maxima, most intense first, 10° ≤ 2θ ≤ 90°:
2θ 30.63, 2.919 Å, I = 100, (0 2 4)
2θ 44.01, 2.057 Å, I = 37, (2 2 0)
2θ 43.72, 2.071 Å, I = 36, (2 0 8)
2θ 54.57, 1.682 Å, I = 19, (4 0 4)
2θ 72.61, 1.302 Å, I = 16, (2 4 4)
2θ 26.50, 3.363 Å, I = 15, (2 0 2)
2θ 72.18, 1.309 Å, I = 15, (2 2 12)
2θ 80.73, 1.190 Å, I = 12, (4 2 8)

***

(4)
Diffraction record for In4GaSn4. The powder diffraction line list is simulated, not measured: it uses a DFT-relaxed cell (PBE, Alexandria) and CuKα.
Intensities are scaled so that the largest is 100.

Structural model:
```
data_In4GaSn4
_chemical_formula_sum 'In4 Ga1 Sn4'
_cell_length_a 3.375
_cell_length_b 8.639
_cell_length_c 8.653
_cell_angle_alpha 77.46
_cell_angle_beta 79.56
_cell_angle_gamma 79.77
_symmetry_space_group_name_H-M 'P -1'
_symmetry_Int_Tables_number 2
loop_
_symmetry_equiv_pos_as_xyz
'x,y,z'
'-x,-y,-z'
loop_
_atom_site_label
_atom_site_type_symbol
_atom_site_fract_x
_atom_site_fract_y
_atom_site_fract_z
In1 In 0.004 0.180 0.311
In2 In 0.332 0.161 0.649
Ga1 Ga 0.000 0.500 0.000
Sn1 Sn 0.347 0.822 0.018
Sn2 Sn 0.348 0.508 0.323
```

Largest 8 diffraction maxima, most intense first, 10° ≤ 2θ ≤ 90°:
2θ 32.18, 2.782 Å, I = 100, (0 3 0)
2θ 32.14, 2.785 Å, I = 99, (0 0 3)
2θ 33.19, 2.699 Å, I = 95, (-1 1 1)
2θ 33.88, 2.646 Å, I = 87, (1 2 2)
2θ 36.53, 2.460 Å, I = 70, (1 2 -1)
2θ 36.41, 2.468 Å, I = 69, (1 -1 2)
2θ 41.26, 2.188 Å, I = 50, (0 3 3)
2θ 55.77, 1.648 Å, I = 40, (-1 4 1)

***

(5)
Diffraction record for Mg2TlHg7. The powder diffraction line list is simulated, not measured: it uses a DFT-relaxed cell (PBE, Alexandria) and CuKα.
Intensities are scaled so that the largest is 100.

Structural model:
```
data_Mg2TlHg7
_chemical_formula_sum 'Mg4 Tl2 Hg14'
_cell_length_a 8.241
_cell_length_b 15.434
_cell_length_c 4.767
_cell_angle_alpha 90.00
_cell_angle_beta 90.00
_cell_angle_gamma 90.00
_symmetry_space_group_name_H-M 'C m m m'
_symmetry_Int_Tables_number 65
_symmetry_space_group_name_Hall '-C 2 2'
loop_
_atom_site_label
_atom_site_type_symbol
_atom_site_fract_x
_atom_site_fract_y
_atom_site_fract_z
Mg1 Mg 0.000 0.191 0.000
Tl1 Tl 0.000 0.500 0.500
Hg1 Hg 0.000 0.000 0.000
Hg2 Hg 0.000 0.285 0.500
Hg3 Hg 0.189 0.383 0.000
```

Largest 8 diffraction maxima, most intense first, 10° ≤ 2θ ≤ 90°:
2θ 36.35, 2.472 Å, I = 100, (1 5 1)
2θ 31.77, 2.816 Å, I = 94, (2 4 0)
2θ 38.26, 2.352 Å, I = 85, (3 1 1)
2θ 67.30, 1.391 Å, I = 80, (5 5 1)
2θ 29.79, 2.999 Å, I = 79, (0 4 1)
2θ 28.64, 3.117 Å, I = 69, (2 0 1)
2θ 50.15, 1.819 Å, I = 61, (2 4 2)
2θ 37.74, 2.383 Å, I = 54, (0 0 2)

***

(6)
Diffraction record for CsCu2F5. The powder diffraction line list is simulated, not measured: it uses a DFT-relaxed cell (PBE, Alexandria) and CuKα.
Intensities are scaled so that the largest is 100.

Structural model:
```
data_CsCu2F5
_chemical_formula_sum 'Cs4 Cu8 F20'
_cell_length_a 7.244
_cell_length_b 7.459
_cell_length_c 11.455
_cell_angle_alpha 90.00
_cell_angle_beta 123.13
_cell_angle_gamma 90.00
_symmetry_space_group_name_H-M 'P 1 21/c 1'
_symmetry_Int_Tables_number 14
loop_
_symmetry_equiv_pos_as_xyz
'x,y,z'
'-x,-y,-z'
'-x,y+1/2,-z+1/2'
'x,-y+1/2,z+1/2'
loop_
_atom_site_label
_atom_site_type_symbol
_atom_site_fract_x
_atom_site_fract_y
_atom_site_fract_z
Cs1 Cs 0.123 0.021 0.380
Cu1 Cu 0.000 0.000 0.000
Cu2 Cu 0.497 0.236 0.764
Cu3 Cu 0.500 0.000 0.000
F1 F 0.187 0.023 0.924
F2 F 0.193 0.208 0.148
F3 F 0.193 0.679 0.642
F4 F 0.414 0.517 0.242
F5 F 0.486 0.748 0.531
```

Largest 8 diffraction maxima, most intense first, 10° ≤ 2θ ≤ 90°:
2θ 30.39, 2.941 Å, I = 100, (0 1 3)
2θ 28.08, 3.177 Å, I = 85, (1 2 0)
2θ 28.21, 3.163 Å, I = 81, (2 1 -1)
2θ 31.75, 2.818 Å, I = 79, (1 0 -4)
2θ 28.93, 3.087 Å, I = 69, (1 2 -2)
2θ 29.87, 2.991 Å, I = 65, (2 1 -3)
2θ 26.23, 3.398 Å, I = 59, (1 1 -3)
2θ 24.34, 3.656 Å, I = 58, (1 1 1)